Record 1
Starting from a DFT-relaxed cell (GGA-PBE, Alexandria), the powder diffractogram of CsAg3Pt was calculated for Cu Kα (weighted mean of Kα1 and Kα2).
Kinematic intensities with the Lorentz-polarization factor, no thermal factor.

Crystal structure
```
data_CsAg3Pt
_chemical_formula_sum 'Cs1 Ag3 Pt1'
_symmetry_space_group_name_H-M 'P m -3 m'
_symmetry_Int_Tables_number 221
_symmetry_space_group_name_Hall '-P 4 2 3'
_cell_length_a 5.309
_cell_length_b 5.309
_cell_length_c 5.309
_cell_angle_alpha 90.00
_cell_angle_beta 90.00
_cell_angle_gamma 90.00
loop_
_atom_site_label
_atom_site_type_symbol
_atom_site_fract_x
_atom_site_fract_y
_atom_site_fract_z
_atom_site_occupancy
Cs1 Cs 0.000 0.000 0.000 1
Ag1 Ag 0.000 0.500 0.500 1
Pt1 Pt 0.500 0.500 0.500 1
```

The 10 most intense peaks (10° ≤ 2θ ≤ 90°), by angle:
16.70 deg, I 383, hkl 1 0 0
23.70 deg, I 488, hkl 1 1 0
29.13 deg, I 353, hkl 1 1 1
33.77 deg, I 1000, hkl 2 0 0
37.90 deg, I 206, hkl 2 1 0
41.67 deg, I 225, hkl 2 1 1
48.50 deg, I 708, hkl 2 2 0
57.58 deg, I 136, hkl 3 1 1
60.40 deg, I 241, hkl 2 2 2
80.99 deg, I 312, hkl 4 2 0

Record 2
Starting from a DFT-relaxed cell (GGA-PBE, Alexandria), the powder diffractogram of Rb2TlSi2O6 was calculated for Cu Kα (weighted mean of Kα1 and Kα2).
Kinematic intensities with the Lorentz-polarization factor, no thermal factor.

Crystal structure
```
data_Rb2TlSi2O6
_chemical_formula_sum 'Rb6 Tl3 Si6 O18'
_symmetry_space_group_name_H-M 'R -3 m'
_symmetry_Int_Tables_number 166
_symmetry_space_group_name_Hall '-R 3 2"'
_cell_length_a 6.0394
_cell_length_b 6.0394
_cell_length_c 19.2924
_cell_angle_alpha 90.00
_cell_angle_beta 90.00
_cell_angle_gamma 120.00
loop_
_atom_site_label
_atom_site_type_symbol
_atom_site_fract_x
_atom_site_fract_y
_atom_site_fract_z
_atom_site_occupancy
Rb1 Rb 0.0000 0.0000 0.2056 1
Tl1 Tl 0.0000 0.0000 0.0000 1
Si1 Si 0.0000 0.0000 0.4149 1
O1 O 0.0286 0.5143 0.2513 1
```

The 10 most intense peaks (10° ≤ 2θ ≤ 90°), by angle:
17.57 deg, I 547, hkl 1 0 1
19.30 deg, I 186, hkl 0 1 2
25.12 deg, I 312, hkl 1 0 4
28.75 deg, I 1000, hkl 0 1 5
29.58 deg, I 776, hkl 1 1 0
39.19 deg, I 263, hkl 0 2 4
41.72 deg, I 332, hkl 2 0 5
50.42 deg, I 200, hkl 1 0 10
51.98 deg, I 324, hkl 1 2 5
52.34 deg, I 176, hkl 1 1 9

Record 3
Starting from a DFT-relaxed cell (GGA-PBE, Alexandria), the powder diffractogram of Zr5Mn2Hg2 was calculated for Cu Kα (weighted mean of Kα1 and Kα2).
Kinematic intensities with the Lorentz-polarization factor, no thermal factor.

Crystal structure
```
data_Zr5Mn2Hg2
_chemical_formula_sum 'Zr20 Mn8 Hg8'
_symmetry_space_group_name_H-M 'C m c e'
_symmetry_Int_Tables_number 64
_symmetry_space_group_name_Hall '-C 2ac 2'
_cell_length_a 15.177
_cell_length_b 6.932
_cell_length_c 7.055
_cell_angle_alpha 90.00
_cell_angle_beta 90.00
_cell_angle_gamma 90.00
loop_
_atom_site_label
_atom_site_type_symbol
_atom_site_fract_x
_atom_site_fract_y
_atom_site_fract_z
_atom_site_occupancy
Zr1 Zr 0.000 0.000 0.000 1
Zr2 Zr 0.117 0.195 0.309 1
Mn1 Mn 0.000 0.106 0.609 1
Hg1 Hg 0.228 0.000 0.000 1
```

The 10 most intense peaks (10° ≤ 2θ ≤ 90°), by angle:
25.22 deg, I 162, hkl 0 0 2
27.89 deg, I 207, hkl 2 0 2
28.31 deg, I 195, hkl 2 2 0
34.71 deg, I 1000, hkl 4 0 2
35.07 deg, I 724, hkl 4 2 0
36.34 deg, I 608, hkl 0 2 2
37.38 deg, I 182, hkl 4 2 1
38.29 deg, I 149, hkl 2 2 2
47.95 deg, I 139, hkl 8 0 0
64.33 deg, I 169, hkl 5 3 3

Record 4
Starting from a DFT-relaxed cell (GGA-PBE, Alexandria), the powder diffractogram of Nd2Sn3Pb3 was calculated for Cu Kα (weighted mean of Kα1 and Kα2).
Kinematic intensities with the Lorentz-polarization factor, no thermal factor.

Crystal structure
```
data_Nd2Sn3Pb3
_chemical_formula_sum 'Nd2 Sn3 Pb3'
_symmetry_space_group_name_H-M 'P m m m'
_symmetry_Int_Tables_number 47
_cell_length_a 4.820
_cell_length_b 4.874
_cell_length_c 9.770
_cell_angle_alpha 90.00
_cell_angle_beta 90.00
_cell_angle_gamma 90.00
loop_
_symmetry_equiv_pos_as_xyz
'x,y,z'
'-x,-y,-z'
'-x,-y,z'
'x,y,-z'
'x,-y,-z'
'-x,y,z'
'-x,y,-z'
'x,-y,z'
loop_
_atom_site_label
_atom_site_type_symbol
_atom_site_fract_x
_atom_site_fract_y
_atom_site_fract_z
_atom_site_occupancy
Nd1 Nd 0.000 0.000 0.243 1
Sn1 Sn 0.500 0.000 0.000 1
Sn2 Sn 0.500 0.500 0.248 1
Pb1 Pb 0.000 0.500 0.000 1
Pb2 Pb 0.000 0.500 0.500 1
Pb3 Pb 0.500 0.000 0.500 1
```

The 10 most intense peaks (10° ≤ 2θ ≤ 90°), by angle:
31.90 deg, I 1000, hkl 1 1 2
36.84 deg, I 341, hkl 0 2 0
37.31 deg, I 166, hkl 2 0 0
53.09 deg, I 121, hkl 0 2 4
53.44 deg, I 239, hkl 2 2 0
63.23 deg, I 144, hkl 1 1 6
63.34 deg, I 145, hkl 1 3 2
63.92 deg, I 141, hkl 3 1 2
66.68 deg, I 124, hkl 2 2 4
87.75 deg, I 64, hkl 3 3 2

Record 5
Starting from a DFT-relaxed cell (GGA-PBE, Alexandria), the powder diffractogram of PrNd2Au2 was calculated for Cu Kα (weighted mean of Kα1 and Kα2).
Kinematic intensities with the Lorentz-polarization factor, no thermal factor.

Crystal structure
```
data_PrNd2Au2
_chemical_formula_sum 'Pr2 Nd4 Au4'
_symmetry_space_group_name_H-M 'C 1 2/m 1'
_symmetry_Int_Tables_number 12
_cell_length_a 7.181
_cell_length_b 7.179
_cell_length_c 6.871
_cell_angle_alpha 90.00
_cell_angle_beta 121.17
_cell_angle_gamma 90.00
loop_
_symmetry_equiv_pos_as_xyz
'x,y,z'
'-x,-y,-z'
'-x,y,-z'
'x,-y,z'
'x+1/2,y+1/2,z'
'-x+1/2,-y+1/2,-z'
'-x+1/2,y+1/2,-z'
'x+1/2,-y+1/2,z'
loop_
_atom_site_label
_atom_site_type_symbol
_atom_site_fract_x
_atom_site_fract_y
_atom_site_fract_z
_atom_site_occupancy
Pr1 Pr 0.000 0.000 0.000 1
Nd1 Nd 0.000 0.250 0.500 1
Au1 Au 0.116 0.500 0.229 1
```

The 10 most intense peaks (10° ≤ 2θ ≤ 90°), by angle:
19.04 deg, I 311, hkl 1 1 -1
28.72 deg, I 335, hkl 1 1 1
28.83 deg, I 316, hkl 1 1 -2
29.12 deg, I 844, hkl 0 2 1
29.22 deg, I 293, hkl 2 0 -2
35.36 deg, I 1000, hkl 2 2 -1
39.63 deg, I 301, hkl 0 2 2
42.29 deg, I 221, hkl 1 1 2
42.43 deg, I 223, hkl 1 1 -3
50.87 deg, I 358, hkl 0 4 0

Record 6
Starting from a DFT-relaxed cell (GGA-PBE, Alexandria), the powder diffractogram of Ag4BrF3 was calculated for Cu Kα (weighted mean of Kα1 and Kα2).
Kinematic intensities with the Lorentz-polarization factor, no thermal factor.

Crystal structure
```
data_Ag4BrF3
_chemical_formula_sum 'Ag8 Br2 F6'
_symmetry_space_group_name_H-M 'C 1 2 1'
_symmetry_Int_Tables_number 5
_cell_length_a 10.282
_cell_length_b 7.115
_cell_length_c 3.896
_cell_angle_alpha 90.00
_cell_angle_beta 90.11
_cell_angle_gamma 90.00
loop_
_symmetry_equiv_pos_as_xyz
'x,y,z'
'-x,y,-z'
'x+1/2,y+1/2,z'
'-x+1/2,y+1/2,-z'
loop_
_atom_site_label
_atom_site_type_symbol
_atom_site_fract_x
_atom_site_fract_y
_atom_site_fract_z
_atom_site_occupancy
Ag1 Ag 0.000 0.000 0.000 1
Ag2 Ag 0.000 0.444 0.000 1
Ag3 Ag 0.237 0.222 0.499 1
Br1 Br 0.000 0.722 0.500 1
F1 F 0.000 0.222 0.500 1
F2 F 0.250 0.472 0.999 1
```

The 10 most intense peaks (10° ≤ 2θ ≤ 90°), by angle:
28.75 deg, I 437, hkl 2 0 -1
30.56 deg, I 340, hkl 2 2 0
34.13 deg, I 1000, hkl 0 2 1
34.90 deg, I 473, hkl 4 0 0
37.16 deg, I 117, hkl 3 1 1
46.62 deg, I 274, hkl 0 0 2
49.62 deg, I 626, hkl 4 2 -1
51.37 deg, I 126, hkl 0 4 0
56.78 deg, I 115, hkl 2 2 -2
63.61 deg, I 121, hkl 4 4 0

Record 7
Starting from a DFT-relaxed cell (GGA-PBE, Alexandria), the powder diffractogram of Dy2CuB8O16 was calculated for Cu Kα (weighted mean of Kα1 and Kα2).
Kinematic intensities with the Lorentz-polarization factor, no thermal factor.

Crystal structure
```
data_Dy2CuB8O16
_chemical_formula_sum 'Dy4 Cu2 B16 O32'
_symmetry_space_group_name_H-M 'P 1 21/c 1'
_symmetry_Int_Tables_number 14
_cell_length_a 10.271
_cell_length_b 8.506
_cell_length_c 6.256
_cell_angle_alpha 90.00
_cell_angle_beta 90.09
_cell_angle_gamma 90.00
loop_
_symmetry_equiv_pos_as_xyz
'x,y,z'
'-x,-y,-z'
'-x,y+1/2,-z+1/2'
'x,-y+1/2,z+1/2'
loop_
_atom_site_label
_atom_site_type_symbol
_atom_site_fract_x
_atom_site_fract_y
_atom_site_fract_z
_atom_site_occupancy
Dy1 Dy 0.182 0.002 0.499 1
Cu1 Cu 0.500 0.000 0.500 1
B1 B 0.000 0.182 0.886 1
B2 B 0.194 0.001 0.999 1
B3 B 0.376 0.693 0.383 1
B4 B 0.379 0.193 0.116 1
O1 O 0.002 0.664 0.063 1
O2 O 0.115 0.595 0.647 1
O3 O 0.117 0.101 0.850 1
O4 O 0.269 0.595 0.347 1
O5 O 0.272 0.094 0.150 1
O6 O 0.359 0.655 0.938 1
O7 O 0.361 0.155 0.561 1
O8 O 0.499 0.627 0.354 1
```

The 10 most intense peaks (10° ≤ 2θ ≤ 90°), by angle:
17.60 deg, I 1000, hkl 0 1 1
20.89 deg, I 457, hkl 0 2 0
28.54 deg, I 290, hkl 0 0 2
31.59 deg, I 432, hkl 3 1 -1
33.60 deg, I 450, hkl 3 2 0
34.74 deg, I 221, hkl 0 3 1
35.63 deg, I 219, hkl 0 2 2
43.92 deg, I 362, hkl 3 3 -1
44.65 deg, I 311, hkl 3 2 2
44.75 deg, I 242, hkl 0 1 3

Record 8
Starting from a DFT-relaxed cell (GGA-PBE, Alexandria), the powder diffractogram of AlPO4 was calculated for Cu Kα (weighted mean of Kα1 and Kα2).
Kinematic intensities with the Lorentz-polarization factor, no thermal factor.

Crystal structure
```
data_AlPO4
_chemical_formula_sum 'Al2 P2 O8'
_symmetry_space_group_name_H-M 'P 1 21 1'
_symmetry_Int_Tables_number 4
_cell_length_a 5.090
_cell_length_b 8.472
_cell_length_c 5.164
_cell_angle_alpha 90.00
_cell_angle_beta 119.47
_cell_angle_gamma 90.00
loop_
_symmetry_equiv_pos_as_xyz
'x,y,z'
'-x,y+1/2,-z'
loop_
_atom_site_label
_atom_site_type_symbol
_atom_site_fract_x
_atom_site_fract_y
_atom_site_fract_z
_atom_site_occupancy
Al1 Al 0.238 0.000 0.327 1
P1 P 0.091 0.375 0.330 1
O1 O 0.021 0.893 0.444 1
O2 O 0.157 0.932 0.976 1
O3 O 0.160 0.200 0.313 1
O4 O 0.377 0.474 0.426 1
```

The 10 most intense peaks (10° ≤ 2θ ≤ 90°), by angle:
19.75 deg, I 542, hkl 0 0 1
20.04 deg, I 993, hkl 1 0 0
20.97 deg, I 1000, hkl 0 2 0
22.39 deg, I 364, hkl 0 1 1
22.65 deg, I 831, hkl 1 1 -1
29.17 deg, I 437, hkl 1 2 0
34.73 deg, I 446, hkl 1 0 -2
42.17 deg, I 107, hkl 2 1 -2
47.59 deg, I 176, hkl 1 4 -1
64.02 deg, I 131, hkl 3 1 -3

- Number 2 is which compound?
  Rb2TlSi2O6